1.
Structure and simulated powder diffractogram of RbSrCl3 (DFT lattice parameters and positions (PBE); Cu Ka).
Peak positions follow from Bragg's law for the DFT cell and can differ from measured ones.

Principal peaks in the range 10° ≤ 2θ ≤ 80°, sorted by position:
d 5.698, 15.6 deg, intensity 51.5; d 4.211, 21.1 deg, intensity 87.7; d 3.869, 23.0 deg, intensity 66.0; d 2.849, 31.4 deg, intensity 52.5; d 2.639, 34.0 deg, intensity 100.0; d 2.234, 40.4 deg, intensity 59.9

Structure:
Unit cell a=7.7385 b=7.7385 c=21.6481 alpha=90.00 beta=90.00 gamma=120.00
Space group R-3 (No. 148, hexagonal axes)
One atom of each set of equivalent atoms:
Rb1 0.0000 0.0000 0.1405 x6
Sr1 0.0000 0.0000 0.3436 x6
Cl1 0.0208 0.6283 0.9246 x18

---

2.
Structure and simulated powder diffractogram of KO3 (DFT lattice parameters and positions (PBE); Cu Ka).
Peak positions follow from Bragg's law for the DFT cell and can differ from measured ones.

Principal peaks in the range 10° ≤ 2θ ≤ 80°, sorted by position:
d 3.391, 26.3 deg, intensity 100.0; d 3.204, 27.8 deg, intensity 49.9; d 2.329, 38.7 deg, intensity 49.8; d 2.248, 40.1 deg, intensity 27.7; d 2.167, 41.7 deg, intensity 15.6; d 2.074, 43.6 deg, intensity 18.0

Structure:
Unit cell a=4.148 b=5.885 c=6.408 alpha=90.00 beta=90.00 gamma=90.00
Space group Imm2 (No. 44)
One atom of each set of equivalent atoms:
K1 0.000 0.000 0.000 x2
O1 0.000 0.000 0.478 x2
O2 0.000 0.195 0.594 x4